Structure and computed powder diffraction line list of Mn3Cr3W2O16 (a GGA+U-relaxed structure; Cu Ka).
Peak positions follow from Bragg's law for the DFT cell and can differ from measured ones.

Main lines, most intense first (2θ = 5–70°):
| Position (°2θ) | intensity |
| --- | --- |
| 18.4 | 100 |
| 19.4 | 91 |
| 19.3 | 89 |
| 16.6 | 86 |
| 20.1 | 80 |
| 34.0 | 64 |
| 33.2 | 63 |
| 19.7 | 58 |
| 18.9 | 57 |
| 30.2 | 52 |

Structural model:
Unit cell a=6.1174 b=6.2743 c=9.1711 alpha=90.32 beta=94.67 gamma=118.70
Positions (direct):
Mn1 0.0000 0.0000 0.0000
Mn2 0.0790 0.2438 0.6471
Mn3 0.3950 0.5471 0.3359
Cr1 0.1863 0.8002 0.5249
Cr2 0.6852 0.1938 0.9123
Cr3 0.9456 0.5489 0.1917
W1 0.4492 0.0481 0.2068
W2 0.7225 0.5817 0.6908
O1 0.0002 0.2146 0.8590
O2 0.0601 0.9025 0.2007
O3 0.0789 0.5177 0.3834
O4 0.3111 0.0616 0.6811
O5 0.3159 0.6727 0.1608
O6 0.3551 0.0941 0.0025
O7 0.4360 0.4700 0.5475
O8 0.4733 0.9706 0.4058
O9 0.5534 0.7473 0.7788
O10 0.5806 0.2042 0.7012
O11 0.5917 0.4125 0.2573
O12 0.6137 0.8449 0.9267
O13 0.7958 0.1923 0.1271
O14 0.8111 0.5634 0.8962
O15 0.9017 0.8558 0.5709
O16 0.9993 0.5333 0.6479